Li3Hg2Bi2: simulated powder XRD pattern (λ = 1.5418 Å (Cu Kα)), based on a structure optimized by DFT (GGA-PBE).
Kinematic intensities with the Lorentz-polarization factor, no thermal factor.

Atomic structure:
Cell: 5.146 5.146 9.122 Å, 115.06 115.06 51.06°
Fractional positions:
Li1 0.000 0.000 0.000
Li2 0.289 0.289 0.760
Li3 0.711 0.711 0.240
Hg1 0.114 0.114 0.406
Hg2 0.886 0.886 0.594
Bi1 0.361 0.361 0.146
Bi2 0.639 0.639 0.854

Largest 6 diffraction maxima, most intense first, 2θ = 15–90°:
2θ 27.5, d = 3.239 Å, I = 100; 2θ 22.5, d = 3.944 Å, I = 64; 2θ 35.6, d = 2.520 Å, I = 48; 2θ 36.1, d = 2.487 Å, I = 45; 2θ 38.0, d = 2.370 Å, I = 23; 2θ 40.7, d = 2.218 Å, I = 20

LiIn2Pd5: simulated powder XRD pattern (λ = 1.5418 Å (Cu Kα)), based on a structure optimized by DFT (GGA-PBE).
Kinematic intensities with the Lorentz-polarization factor, no thermal factor.

Atomic structure:
Cell: 5.614 5.614 5.614 Å, 117.10 117.10 95.10°
Fractional positions:
Li1 0.000 0.000 0.000
In1 0.000 0.500 0.500
In2 0.500 0.000 0.500
Pd1 0.000 0.000 0.500
Pd2 0.000 0.500 0.000
Pd3 0.500 0.000 0.000
Pd4 0.500 0.500 0.000
Pd5 0.500 0.500 0.500

Largest 6 diffraction maxima, most intense first, 2θ = 15–90°:
2θ 38.9, d = 2.318 Å, I = 100; 2θ 43.7, d = 2.071 Å, I = 35; 2θ 77.0, d = 1.238 Å, I = 26; 2θ 66.9, d = 1.398 Å, I = 20; 2θ 48.0, d = 1.895 Å, I = 13; 2θ 63.5, d = 1.465 Å, I = 11